Theoretical XRD peak list
Compound: La4PrCd5
Radiation: λ = 1.5418 Å (Cu Kα)
Structure: a PBE-relaxed structure
Lines closer than 0.1° are merged.

Cell and atoms:
a b c (Å): 3.9331 3.9331 19.5716
angles (deg): 90.00 90.00 90.00
Positions (direct):
La: 0.0000 0.0000 0.1007
La: 0.0000 0.0000 0.3019
La: 0.0000 0.0000 0.6981
La: 0.0000 0.0000 0.8993
Pr: 0.0000 0.0000 0.5000
Cd: 0.5000 0.5000 0.0000
Cd: 0.5000 0.5000 0.2012
Cd: 0.5000 0.5000 0.4031
Cd: 0.5000 0.5000 0.5969
Cd: 0.5000 0.5000 0.7988

Peak list (10 most intense, 2θ from 10° to 90°, by intensity)
d [Å]  2theta  intensity
2.777  32.24  100
1.604  57.44  25
1.601  57.59  12
1.967  46.16  12
1.243  76.63  11
1.387  67.52  7
1.957  46.39  6
1.238  77.00  5
1.134  85.70  4
1.391  67.34  4